# 1
This entry pairs a crystal structure of KPbIF2 with its computed powder diffraction line list. Radiation: Cu Kα X-rays. Structure: a structure optimized by DFT (PBE).

Crystal structure
Lattice parameters (Å, degrees): 4.736 4.736 6.831 90.00 90.00 90.00
Fractional positions:
K  0.000  0.000  0.000
Pb  0.500  0.500  0.307
I  0.500  0.500  0.781
F  0.000  0.500  0.221
F  0.500  0.000  0.221

Main lines, sorted by position (2θ from 10° to 80°):
d (Å)	Rel. int.
4.736	100
3.892	19
3.416	28
3.349	58
2.770	84
2.391	33
2.368	35
2.118	26
1.946	23
1.800	47

=====

# 2
This entry pairs a crystal structure of AcBiTeO2 with its computed powder diffraction line list. Radiation: Cu Kα X-rays. Structure: a structure optimized by DFT (PBE).

Crystal structure
Lattice parameters (Å, degrees): 7.263 7.263 5.873 90.00 90.00 132.39
Fractional positions:
Ac  0.104  0.896  0.750
Ac  0.896  0.104  0.250
Bi  0.415  0.585  0.750
Bi  0.585  0.415  0.250
Te  0.246  0.754  0.250
Te  0.754  0.246  0.750
O  0.260  0.260  0.000
O  0.260  0.260  0.500
O  0.740  0.740  0.000
O  0.740  0.740  0.500

Main lines, sorted by position (2θ from 10° to 80°):
d (Å)	Rel. int.
3.961	9
3.028	100
2.934	43
2.215	8
2.075	23
1.768	20
1.712	39
1.514	10
1.320	8
1.312	9

=====

# 3
This entry pairs a crystal structure of NaN3F12 with its computed powder diffraction line list. Radiation: Cu Kα X-rays. Structure: a structure optimized by DFT (PBE).

Crystal structure
Lattice parameters (Å, degrees): 10.513 10.513 10.513 46.37 46.37 46.37
Fractional positions:
Na  0.000  0.000  0.000
Na  0.500  0.500  0.500
N  0.086  0.787  0.396
N  0.287  0.586  0.896
N  0.396  0.086  0.787
N  0.586  0.896  0.287
N  0.787  0.396  0.086
N  0.896  0.287  0.586
F  0.011  0.092  0.659
F  0.031  0.368  0.428
F  0.092  0.659  0.011
F  0.150  0.190  0.742
F  0.159  0.592  0.511
F  0.190  0.742  0.150
F  0.220  0.848  0.315
F  0.242  0.690  0.650
F  0.315  0.220  0.848
F  0.348  0.720  0.815
F  0.368  0.428  0.031
F  0.428  0.031  0.368
F  0.511  0.159  0.592
F  0.531  0.928  0.868
F  0.592  0.511  0.159
F  0.650  0.242  0.690
F  0.659  0.011  0.092
F  0.690  0.650  0.242
F  0.720  0.815  0.348
F  0.742  0.150  0.190
F  0.815  0.348  0.720
F  0.848  0.315  0.220
F  0.868  0.531  0.928
F  0.928  0.868  0.531

Main lines, sorted by position (2θ from 10° to 80°):
d (Å)	Rel. int.
6.386	31
4.682	49
4.139	24
3.786	100
3.153	33
3.101	24
2.508	27
2.390	38
2.211	19
2.145	29

=====

# 4
This entry pairs a crystal structure of BaAc6Se8 with its computed powder diffraction line list. Radiation: Cu Kα X-rays. Structure: a structure optimized by DFT (PBE).

Crystal structure
Lattice parameters (Å, degrees): 8.941 8.941 8.941 60.00 60.00 60.00
Fractional positions:
Ba  0.000  0.000  0.000
Ac  0.000  0.000  0.500
Ac  0.000  0.500  0.000
Ac  0.000  0.500  0.500
Ac  0.500  0.000  0.000
Ac  0.500  0.000  0.500
Ac  0.500  0.500  0.000
Se  0.250  0.250  0.250
Se  0.256  0.256  0.744
Se  0.256  0.744  0.256
Se  0.256  0.744  0.744
Se  0.744  0.256  0.256
Se  0.744  0.256  0.744
Se  0.744  0.744  0.256
Se  0.750  0.750  0.750

Main lines, sorted by position (2θ from 10° to 80°):
d (Å)	Rel. int.
6.322	11
4.470	10
3.650	28
3.161	100
2.235	77
1.906	15
1.825	28
1.581	13
1.414	36
1.290	27

=====

# 5
This entry pairs a crystal structure of AcLaPr3 with its computed powder diffraction line list. Radiation: Cu Kα X-rays. Structure: a structure optimized by DFT (PBE).

Crystal structure
Lattice parameters (Å, degrees): 6.422 7.155 17.774 90.00 109.40 90.00
Fractional positions:
Ac  0.051  0.061  0.346
Ac  0.051  0.439  0.846
Ac  0.949  0.561  0.154
Ac  0.949  0.939  0.654
La  0.455  0.633  0.746
La  0.455  0.867  0.246
La  0.545  0.133  0.754
La  0.545  0.367  0.254
Pr  0.213  0.554  0.370
Pr  0.213  0.946  0.870
Pr  0.216  0.167  0.052
Pr  0.216  0.333  0.552
Pr  0.362  0.664  0.047
Pr  0.362  0.836  0.547
Pr  0.638  0.164  0.453
Pr  0.638  0.336  0.953
Pr  0.784  0.667  0.448
Pr  0.784  0.833  0.948
Pr  0.787  0.054  0.130
Pr  0.787  0.446  0.630

Main lines, sorted by position (2θ from 10° to 80°):
d (Å)	Rel. int.
3.209	42
3.187	25
3.064	20
3.012	100
2.937	99
2.914	33
2.871	26
2.720	19
1.676	20
1.592	20

=====

# 6
This entry pairs a crystal structure of Ba3U2Se2O5 with its computed powder diffraction line list. Radiation: Cu Kα X-rays. Structure: a structure optimized by DFT (PBE).

Crystal structure
Lattice parameters (Å, degrees): 13.499 13.499 13.499 160.81 160.81 27.27
Fractional positions:
Ba  0.000  0.000  0.000
Ba  0.177  0.177  0.000
Ba  0.823  0.823  0.000
U  0.417  0.417  0.000
U  0.583  0.583  0.000
Se  0.304  0.304  0.000
Se  0.696  0.696  0.000
O  0.080  0.580  0.500
O  0.420  0.920  0.500
O  0.500  0.500  0.000
O  0.580  0.080  0.500
O  0.920  0.420  0.500

Main lines, sorted by position (2θ from 10° to 80°):
d (Å)	Rel. int.
4.436	22
3.416	77
3.183	100
2.880	69
2.250	50
2.024	18
1.879	30
1.773	34
1.423	21
1.225	18

=====

# 7
This entry pairs a crystal structure of Sm3Dy5Tm with its computed powder diffraction line list. Radiation: Cu Kα X-rays. Structure: a structure optimized by DFT (PBE).

Crystal structure
Lattice parameters (Å, degrees): 8.867 8.867 11.388 107.97 107.97 44.39
Fractional positions:
Sm  0.000  0.000  0.000
Sm  0.000  0.000  0.500
Sm  0.140  0.386  0.644
Sm  0.386  0.140  0.144
Sm  0.614  0.860  0.856
Sm  0.860  0.614  0.356
Dy  0.057  0.294  0.871
Dy  0.294  0.057  0.371
Dy  0.318  0.682  0.250
Dy  0.389  0.397  0.455
Dy  0.397  0.389  0.955
Dy  0.603  0.611  0.045
Dy  0.611  0.603  0.545
Dy  0.682  0.318  0.750
Dy  0.706  0.943  0.629
Dy  0.943  0.706  0.129
Tm  0.226  0.774  0.750
Tm  0.774  0.226  0.250

Main lines, sorted by position (2θ from 10° to 80°):
d (Å)	Rel. int.
2.904	32
2.872	58
2.857	45
2.845	100
2.834	29
2.811	19
2.737	32
2.704	15
1.809	16
1.643	22

=====

# 8
This entry pairs a crystal structure of PmTlCu with its computed powder diffraction line list. Radiation: Cu Kα X-rays. Structure: a structure optimized by DFT (PBE).

Crystal structure
Lattice parameters (Å, degrees): 13.552 4.024 7.705 90.00 90.00 90.00
Fractional positions:
Pm  0.046  0.000  0.236
Pm  0.250  0.000  0.855
Pm  0.454  0.000  0.236
Pm  0.546  0.000  0.764
Pm  0.750  0.000  0.145
Pm  0.954  0.000  0.764
Tl  0.121  0.500  0.577
Tl  0.250  0.500  0.191
Tl  0.379  0.500  0.577
Tl  0.621  0.500  0.423
Tl  0.750  0.500  0.809
Tl  0.879  0.500  0.423
Cu  0.087  0.500  0.948
Cu  0.250  0.000  0.445
Cu  0.413  0.500  0.948
Cu  0.587  0.500  0.052
Cu  0.750  0.000  0.555
Cu  0.913  0.500  0.052

Main lines, sorted by position (2θ from 10° to 80°):
d (Å)	Rel. int.
3.101	20
2.799	100
2.783	22
2.726	48
2.592	32
2.573	43
2.557	19
2.544	23
2.524	20
2.012	32